Structure and simulated X-ray diffraction stick pattern of Ti2Zn2O5 (DFT lattice parameters and positions (PBE); Cu Ka).
Kinematic intensities with the Lorentz-polarization factor, no thermal factor.

Structure:
```
Ti2Zn2O5
1.0
5.445 0.000 0.000
0.000 11.036 0.000
0.000 0.000 3.538
Ti Zn O
4 4 10
Direct
0.219 0.138 0.000
0.281 0.638 0.000
0.719 0.362 0.000
0.781 0.862 0.000
0.227 0.395 0.500
0.273 0.895 0.500
0.727 0.105 0.500
0.773 0.605 0.500
0.000 0.000 0.000
0.094 0.296 0.000
0.172 0.586 0.500
0.328 0.086 0.500
0.406 0.796 0.000
0.500 0.500 0.000
0.594 0.204 0.000
0.672 0.914 0.500
0.828 0.414 0.500
0.906 0.704 0.000
```

Main lines, low angle first (2θ from 5° to 70°):
h k l	2theta	d (Å)	I/Imax
0 2 1	30.00	2.978	12
0 4 0	32.45	2.759	33
2 0 0	32.90	2.723	35
1 2 1	34.32	2.613	100
2 4 0	46.88	1.938	29
0 0 2	51.67	1.769	21
0 6 1	56.38	1.632	11
1 6 1	59.10	1.563	20
3 2 1	59.65	1.550	23
2 0 2	62.63	1.483	10